This entry pairs a crystal structure of KH4NCl2 with its computed powder diffractogram. Radiation: Cu Kα, 1.54184 Å. Structure: the GGA-PBE geometry in Alexandria.
Intensities are scaled so that the largest is 1000.

a b c (Å): 8.031 8.031 8.031
angles (deg): 132.94 132.94 68.74
Fractional positions:
K (0.375, 0.625, 0.750)
K (0.625, 0.375, 0.250)
H (0.035, 0.918, 0.116)
H (0.082, 0.698, 0.116)
H (0.082, 0.965, 0.384)
H (0.302, 0.918, 0.384)
H (0.698, 0.082, 0.616)
H (0.918, 0.035, 0.616)
H (0.918, 0.302, 0.884)
H (0.965, 0.082, 0.884)
N (0.125, 0.875, 0.250)
N (0.875, 0.125, 0.750)
Cl (0.124, 0.374, 0.750)
Cl (0.374, 0.124, 0.250)
Cl (0.626, 0.876, 0.750)
Cl (0.876, 0.626, 0.250)

Most intense lines, 5 to 70 degrees two-theta, low angle first:
2θ/deg  I/Imax
15.35  85
26.90  552
27.83  1000
39.09  685
39.76  315
48.66  322
57.49  91
63.15  134
64.58  123
65.05  119

This entry pairs a crystal structure of Dy9TmSc2 with its computed powder diffractogram. Radiation: Cu Kα, 1.54184 Å. Structure: the GGA-PBE geometry in Alexandria.
Intensities are scaled so that the largest is 1000.

a b c (Å): 11.011 11.011 3.448
angles (deg): 90.00 90.00 120.00
Fractional positions:
Dy (0.000, 0.500, 0.000)
Dy (0.178, 0.356, 0.500)
Dy (0.178, 0.822, 0.500)
Dy (0.356, 0.178, 0.500)
Dy (0.500, 0.000, 0.000)
Dy (0.500, 0.500, 0.000)
Dy (0.644, 0.822, 0.500)
Dy (0.822, 0.178, 0.500)
Dy (0.822, 0.644, 0.500)
Tm (0.000, 0.000, 0.000)
Sc (0.333, 0.667, 0.000)
Sc (0.667, 0.333, 0.000)

Most intense lines, 5 to 70 degrees two-theta, low angle first:
2θ/deg  I/Imax
24.70  112
30.59  142
32.04  892
32.53  1000
36.05  137
46.30  303
57.72  308
58.04  166
63.69  289
68.13  95

This entry pairs a crystal structure of Ge with its computed powder diffractogram. Radiation: Cu Kα, 1.54184 Å. Structure: the GGA-PBE geometry in Alexandria.
Intensities are scaled so that the largest is 1000.

a b c (Å): 6.102 6.102 6.102
angles (deg): 109.47 109.47 109.47
Fractional positions:
Ge (0.000, 0.203, 0.500)
Ge (0.000, 0.797, 0.500)
Ge (0.203, 0.500, 0.000)
Ge (0.297, 0.297, 0.297)
Ge (0.500, 0.000, 0.203)
Ge (0.500, 0.000, 0.797)
Ge (0.703, 0.703, 0.703)
Ge (0.797, 0.500, 0.000)

Most intense lines, 5 to 70 degrees two-theta, low angle first:
2θ/deg  I/Imax
25.28  172
31.09  1000
36.06  11
48.34  771
51.91  191
55.32  65
58.59  45
61.76  59
67.83  92

This entry pairs a crystal structure of Np2PaIn9 with its computed powder diffractogram. Radiation: Cu Kα, 1.54184 Å. Structure: the GGA-PBE geometry in Alexandria.
Intensities are scaled so that the largest is 1000.

a b c (Å): 4.644 4.644 13.919
angles (deg): 90.00 90.00 90.00
Fractional positions:
Np (0.000, 0.000, 0.167)
Np (0.000, 0.000, 0.833)
Pa (0.000, 0.000, 0.500)
In (0.000, 0.500, 0.000)
In (0.000, 0.500, 0.332)
In (0.000, 0.500, 0.668)
In (0.500, 0.000, 0.000)
In (0.500, 0.000, 0.332)
In (0.500, 0.000, 0.668)
In (0.500, 0.500, 0.166)
In (0.500, 0.500, 0.500)
In (0.500, 0.500, 0.834)

Most intense lines, 5 to 70 degrees two-theta, low angle first:
2θ/deg  I/Imax
19.12  104
27.16  92
33.43  1000
38.79  500
43.59  56
48.00  44
56.03  340
59.76  30
63.35  20
66.84  398